Simulated XRD peak list of Pr2Se3Cl for Cu Kα, from a crystal structure in Alexandria, relaxed with GGA-PBE.

Peak list (8 most intense, 2θ = 10–90°, sorted by position)
2θ (°)	I (rel.)
22.43	100.0
26.36	61.0
31.92	46.3
35.78	76.4
39.35	68.3
39.40	69.1
54.26	23.0
61.96	46.3

Cell and atoms:
```
data_Pr2Se3Cl
_chemical_formula_sum 'Pr12 Se18 Cl6'
_space_group_name_H-M_alt 'R -3 c'
_space_group_IT_number 167
_space_group_name_Hall '-R 3 2"c'
_cell_length_a 7.9216
_cell_length_b 7.9216
_cell_length_c 19.4638
_cell_angle_alpha 90.00
_cell_angle_beta 90.00
_cell_angle_gamma 120.00
loop_
_atom_site_label
_atom_site_fract_x
_atom_site_fract_y
_atom_site_fract_z
_atom_site_occupancy
Pr1 0.0000 0.0000 0.1421 1
Se1 0.0000 0.2771 0.2500 1
Cl1 0.0000 0.0000 0.0000 1
```